1.
This entry pairs a crystal structure of Rb12Sn2As6O with its computed powder diffraction line list. Radiation: λ = 1.5418 Å (Cu Kα). Structure: DFT lattice parameters and positions (GGA-PBE).
Neutral-atom scattering factors, no anomalous dispersion.

Structure:
```
Rb12Sn2As6O
1.0
11.980 0.000 0.000
-5.990 10.375 0.000
0.000 0.000 6.124
Rb Sn As O
12 2 6 1
direct
0.087 0.543 0.249 Rb
0.116 0.232 0.271 Rb
0.116 0.884 0.271 Rb
0.232 0.116 0.729 Rb
0.457 0.543 0.249 Rb
0.457 0.913 0.249 Rb
0.543 0.087 0.751 Rb
0.543 0.457 0.751 Rb
0.768 0.884 0.271 Rb
0.884 0.116 0.729 Rb
0.884 0.768 0.729 Rb
0.913 0.457 0.751 Rb
0.333 0.667 0.751 Sn
0.667 0.333 0.249 Sn
0.209 0.419 0.752 As
0.209 0.791 0.752 As
0.419 0.209 0.248 As
0.581 0.791 0.752 As
0.791 0.209 0.248 As
0.791 0.581 0.248 As
0.000 0.000 0.500 O
```

Main lines, in order of rising 2θ (2θ = 10–90°):
2θ/deg, I_rel
16.81, 102
25.76, 102
29.17, 328
29.67, 1000
29.83, 118
42.21, 81
45.42, 248
52.02, 192
54.90, 265
55.19, 152
74.18, 81
78.77, 90

---

2.
This entry pairs a crystal structure of Eu2As3Pt with its computed powder diffraction line list. Radiation: λ = 1.5418 Å (Cu Kα). Structure: DFT lattice parameters and positions (GGA-PBE).
Neutral-atom scattering factors, no anomalous dispersion.

Structure:
```
Eu2As3Pt
1.0
4.430 0.000 0.000
-2.215 3.836 0.000
0.000 0.000 8.469
Eu As Pt
2 3 1
direct
0.000 0.000 0.242 Eu
0.000 0.000 0.758 Eu
0.333 0.667 0.500 As
0.667 0.333 0.000 As
0.667 0.333 0.500 As
0.333 0.667 0.000 Pt
```

Main lines, in order of rising 2θ (2θ = 10–90°):
2θ/deg, I_rel
10.45, 123
23.18, 69
25.49, 69
31.47, 1000
40.74, 478
42.71, 137
52.36, 238
60.49, 292
68.38, 214
71.18, 91
74.15, 82
89.54, 104

---

3.
This entry pairs a crystal structure of Tm2Al3Si2 with its computed powder diffraction line list. Radiation: λ = 1.5418 Å (Cu Kα). Structure: DFT lattice parameters and positions (GGA-PBE).
Neutral-atom scattering factors, no anomalous dispersion.

Structure:
```
Tm2Al3Si2
1.0
5.044 -2.000 0.000
5.044 2.000 0.000
-1.227 0.000 6.464
Tm Al Si
2 3 2
direct
0.119 0.119 0.323 Tm
0.881 0.881 0.677 Tm
0.195 0.195 0.867 Al
0.500 0.500 0.000 Al
0.805 0.805 0.133 Al
0.406 0.406 0.361 Si
0.594 0.594 0.639 Si
```

Main lines, in order of rising 2θ (2θ = 10–90°):
2θ/deg, I_rel
13.70, 380
20.45, 439
23.99, 507
24.59, 454
28.56, 761
35.23, 407
35.54, 1000
35.96, 721
36.28, 451
39.86, 281
41.92, 278
45.33, 300